For YTmZn2, DFT lattice parameters and positions (PBE) gives the simulated powder XRD pattern in this record (CuKα).

Structure:
```
data_YTmZn2
_chemical_formula_sum 'Y4 Tm4 Zn8'
_cell_length_a 7.119
_cell_length_b 7.119
_cell_length_c 7.119
_cell_angle_alpha 90.00
_cell_angle_beta 90.00
_cell_angle_gamma 90.00
_space_group_name_H-M_alt 'P 1'
_space_group_IT_number 1
_space_group_name_Hall 'P 1'
loop_
_atom_site_label
_atom_site_fract_x
_atom_site_fract_y
_atom_site_fract_z
_atom_site_occupancy
Y1 0.000 0.000 0.000 1
Y2 0.000 0.500 0.500 1
Y3 0.500 0.000 0.500 1
Y4 0.500 0.500 0.000 1
Tm1 0.000 0.000 0.500 1
Tm2 0.000 0.500 0.000 1
Tm3 0.500 0.000 0.000 1
Tm4 0.500 0.500 0.500 1
Zn1 0.250 0.250 0.250 1
Zn2 0.250 0.250 0.750 1
Zn3 0.250 0.750 0.250 1
Zn4 0.250 0.750 0.750 1
Zn5 0.750 0.250 0.250 1
Zn6 0.750 0.250 0.750 1
Zn7 0.750 0.750 0.250 1
Zn8 0.750 0.750 0.750 1
```

Main lines, sorted by position (2θ = 10–80°):
d (Å)  I_rel
4.110  8
3.559  10
2.517  100
2.146  5
2.055  3
1.780  17
1.633  2
1.592  4
1.453  35
1.258  11



For LaMoN3, DFT lattice parameters and positions (PBE) gives the simulated powder XRD pattern in this record (CuKα).

Structure:
```
data_LaMoN3
_chemical_formula_sum 'La2 Mo2 N6'
_cell_length_a 5.741
_cell_length_b 5.741
_cell_length_c 5.741
_cell_angle_alpha 59.85
_cell_angle_beta 59.85
_cell_angle_gamma 59.85
_space_group_name_H-M_alt 'P 1'
_space_group_IT_number 1
_space_group_name_Hall 'P 1'
loop_
_atom_site_label
_atom_site_fract_x
_atom_site_fract_y
_atom_site_fract_z
_atom_site_occupancy
La1 0.000 0.000 0.000 1
La2 0.500 0.500 0.500 1
Mo1 0.249 0.249 0.249 1
Mo2 0.749 0.749 0.749 1
N1 0.023 0.466 0.582 1
N2 0.082 0.966 0.523 1
N3 0.466 0.582 0.023 1
N4 0.523 0.082 0.966 1
N5 0.582 0.023 0.466 1
N6 0.966 0.523 0.082 1
```

Main lines, sorted by position (2θ = 10–80°):
d (Å)  I_rel
4.055  2
2.867  100
2.339  3
2.027  25
1.659  10
1.654  31
1.435  7
1.432  7
1.283  9
1.281  8